Theoretical powder diffraction line list
Compound: LaPr2Ge6
Radiation: Cu Kα X-rays
Structure: a cell relaxed with GGA-PBE

Structural model:
```
data_LaPr2Ge6
_chemical_formula_sum 'La1 Pr2 Ge6'
_cell_length_a 7.7002
_cell_length_b 7.7002
_cell_length_c 4.1720
_cell_angle_alpha 90.00
_cell_angle_beta 90.00
_cell_angle_gamma 120.00
_space_group_name_H-M_alt 'P 1'
_space_group_IT_number 1
_space_group_name_Hall 'P 1'
loop_
_atom_site_label
_atom_site_fract_x
_atom_site_fract_y
_atom_site_fract_z
_atom_site_occupancy
La1 0.0000 0.0000 0.0000 1
Pr1 0.3333 0.6667 0.0000 1
Pr2 0.6667 0.3333 0.0000 1
Ge1 0.0000 0.3346 0.5000 1
Ge2 0.0000 0.6654 0.5000 1
Ge3 0.3346 0.0000 0.5000 1
Ge4 0.3346 0.3346 0.5000 1
Ge5 0.6654 0.0000 0.5000 1
Ge6 0.6654 0.6654 0.5000 1
```

Principal peaks in the range 5 to 70 degrees two-theta, in order of falling intensity:
two_theta  Rel. int.  hkl
31.6  100  1 1 1
40.6  46  3 0 0
60.9  27  3 0 2
52.3  24  2 2 1
68.3  21  4 1 1
43.4  13  0 0 2
23.1  10  1 1 0
49.7  3  1 1 2